(1)
For SrBeSnO4, the GGA-PBE geometry in Alexandria gives the calculated XRD peak list in this record (Cu Kα, 1.54184 Å).

```
SrBeSnO4
1.0
3.2271 -4.7676 0.0000
3.2271 4.7676 0.0000
0.0000 0.0000 6.3139
Sr Be Sn O
2 2 2 8
Direct
0.0000 0.0000 0.0000
0.0000 0.0000 0.5000
0.3603 0.6397 0.7500
0.6397 0.3603 0.2500
0.3616 0.6384 0.2500
0.6384 0.3616 0.7500
0.2628 0.7372 0.5286
0.2628 0.7372 0.9714
0.2749 0.3190 0.7500
0.3190 0.2749 0.2500
0.6810 0.7251 0.7500
0.7251 0.6810 0.2500
0.7372 0.2628 0.0286
0.7372 0.2628 0.4714
```

Principal peaks in the range 10° ≤ 2θ ≤ 80°, in order of rising 2θ:
- 2θ 21.79, rel. 55.0
- 2θ 23.38, rel. 38.4
- 2θ 27.64, rel. 61.5
- 2θ 31.37, rel. 70.1
- 2θ 32.95, rel. 100.0
- 2θ 36.51, rel. 34.9
- 2θ 47.81, rel. 24.5
- 2θ 51.28, rel. 23.0
- 2θ 52.35, rel. 18.3
- 2θ 56.12, rel. 44.2
- 2θ 67.87, rel. 19.6
- 2θ 77.78, rel. 15.9

(2)
For LiLaDyGa, the GGA-PBE geometry in Alexandria gives the calculated XRD peak list in this record (Cu Kα, 1.54184 Å).

```
LiLaDyGa
1.0
7.4076 0.0000 0.0000
0.0000 7.4076 0.0000
0.0000 0.0000 7.4076
Li La Dy Ga
4 4 4 4
Direct
0.0000 0.0000 0.0000
0.0000 0.5000 0.5000
0.5000 0.0000 0.5000
0.5000 0.5000 0.0000
0.2500 0.2500 0.2500
0.2500 0.7500 0.7500
0.7500 0.2500 0.7500
0.7500 0.7500 0.2500
0.2500 0.2500 0.7500
0.2500 0.7500 0.2500
0.7500 0.2500 0.2500
0.7500 0.7500 0.7500
0.0000 0.0000 0.5000
0.0000 0.5000 0.0000
0.5000 0.0000 0.0000
0.5000 0.5000 0.5000
```

Principal peaks in the range 10° ≤ 2θ ≤ 80°, in order of rising 2θ:
- 2θ 20.77, rel. 8.6
- 2θ 24.03, rel. 41.7
- 2θ 34.24, rel. 100.0
- 2θ 40.38, rel. 4.7
- 2θ 42.26, rel. 12.6
- 2θ 49.20, rel. 17.9
- 2θ 53.95, rel. 2.0
- 2θ 55.48, rel. 17.2
- 2θ 61.31, rel. 36.8
- 2θ 65.47, rel. 1.5
- 2θ 72.13, rel. 11.3
- 2θ 77.28, rel. 8.2

(3)
For Li4Zn2Pd, the GGA-PBE geometry in Alexandria gives the calculated XRD peak list in this record (Cu Kα, 1.54184 Å).

```
Li4Zn2Pd
1.0
5.9154 0.0000 0.0000
0.0000 7.1749 0.0000
0.0000 0.0000 5.1393
Li Zn Pd
8 4 2
Direct
0.2150 0.2059 0.0000
0.2150 0.7941 0.0000
0.2850 0.2941 0.5000
0.2850 0.7059 0.5000
0.7150 0.2941 0.5000
0.7150 0.7059 0.5000
0.7850 0.2059 0.0000
0.7850 0.7941 0.0000
0.0000 0.0000 0.5555
0.0000 0.5000 0.7536
0.5000 0.0000 0.2536
0.5000 0.5000 0.0555
0.0000 0.5000 0.2405
0.5000 0.0000 0.7405
```

Principal peaks in the range 10° ≤ 2θ ≤ 80°, in order of rising 2θ:
- 2θ 19.45, rel. 67.4
- 2θ 21.27, rel. 40.5
- 2θ 24.82, rel. 88.0
- 2θ 30.22, rel. 52.8
- 2θ 37.25, rel. 22.5
- 2θ 39.49, rel. 66.7
- 2θ 40.28, rel. 100.0
- 2θ 43.31, rel. 16.6
- 2θ 54.68, rel. 38.2
- 2θ 60.35, rel. 15.2
- 2θ 60.58, rel. 27.6
- 2θ 72.15, rel. 17.8

(4)
For Li2NiI6, the GGA-PBE geometry in Alexandria gives the calculated XRD peak list in this record (Cu Kα, 1.54184 Å).

```
Li2NiI6
1.0
7.1823 0.0000 0.0000
0.0000 7.4010 0.0000
-7.1687 0.0000 11.3263
Li Ni I
4 2 12
Direct
0.1835 0.0085 0.1816
0.1835 0.4915 0.6816
0.8165 0.5085 0.3184
0.8165 0.9915 0.8184
0.5000 0.0000 0.0000
0.5000 0.5000 0.5000
0.1776 0.6635 0.3074
0.1776 0.8365 0.8074
0.2066 0.2123 0.9963
0.2066 0.2877 0.4963
0.4460 0.7308 0.6344
0.4460 0.7692 0.1344
0.5540 0.2308 0.8656
0.5540 0.2692 0.3656
0.7934 0.7123 0.5037
0.7934 0.7877 0.0037
0.8224 0.1635 0.1926
0.8224 0.3365 0.6926
```

Principal peaks in the range 10° ≤ 2θ ≤ 80°, in order of rising 2θ:
- 2θ 14.30, rel. 32.5
- 2θ 14.60, rel. 12.2
- 2θ 24.05, rel. 32.3
- 2θ 24.79, rel. 13.3
- 2θ 26.69, rel. 16.7
- 2θ 27.61, rel. 45.0
- 2θ 29.32, rel. 100.0
- 2θ 31.45, rel. 15.8
- 2θ 34.81, rel. 19.6
- 2θ 36.22, rel. 18.7
- 2θ 38.40, rel. 12.5
- 2θ 44.82, rel. 17.0

(5)
For Ac2Pm4Sm3, the GGA-PBE geometry in Alexandria gives the calculated XRD peak list in this record (Cu Kα, 1.54184 Å).

```
Ac2Pm4Sm3
1.0
3.7370 0.0000 0.0000
-1.8685 3.2363 0.0000
0.0000 0.0000 27.5542
Ac Pm Sm
2 4 3
Direct
0.0000 0.0000 0.0000
0.0000 0.0000 0.2255
0.0000 0.0000 0.3573
0.0000 0.0000 0.5682
0.3333 0.6667 0.6734
0.3333 0.6667 0.8855
0.0000 0.0000 0.7804
0.3333 0.6667 0.1145
0.3333 0.6667 0.4600
```

Principal peaks in the range 10° ≤ 2θ ≤ 80°, in order of rising 2θ:
- 2θ 27.56, rel. 47.8
- 2θ 29.19, rel. 54.7
- 2θ 30.52, rel. 52.6
- 2θ 32.07, rel. 100.0
- 2θ 33.89, rel. 8.9
- 2θ 40.56, rel. 27.7
- 2θ 48.74, rel. 36.4
- 2θ 54.57, rel. 29.7
- 2θ 57.81, rel. 38.1
- 2θ 58.60, rel. 8.4
- 2θ 59.54, rel. 17.3
- 2θ 76.16, rel. 11.2

(6)
For BaGa2Sn, the GGA-PBE geometry in Alexandria gives the calculated XRD peak list in this record (Cu Kα, 1.54184 Å).

```
BaGa2Sn
1.0
7.8067 0.0000 0.0000
0.0000 4.7522 0.0000
0.0000 0.0000 12.0878
Ba Ga Sn
4 8 4
Direct
0.1366 0.2500 0.1331
0.3634 0.7500 0.6331
0.6366 0.2500 0.3669
0.8634 0.7500 0.8669
0.0302 0.2500 0.6588
0.1821 0.2500 0.8496
0.3179 0.7500 0.3496
0.4698 0.7500 0.1588
0.5302 0.2500 0.8412
0.6821 0.2500 0.6504
0.8179 0.7500 0.1504
0.9698 0.7500 0.3412
0.1479 0.2500 0.4325
0.3521 0.7500 0.9325
0.6479 0.2500 0.0675
0.8521 0.7500 0.5675
```

Principal peaks in the range 10° ≤ 2θ ≤ 80°, in order of rising 2θ:
- 2θ 29.06, rel. 19.3
- 2θ 29.60, rel. 100.0
- 2θ 31.28, rel. 31.3
- 2θ 31.92, rel. 16.4
- 2θ 37.09, rel. 12.4
- 2θ 37.86, rel. 29.6
- 2θ 41.30, rel. 18.2
- 2θ 42.34, rel. 27.7
- 2θ 48.75, rel. 11.2
- 2θ 57.27, rel. 13.8
- 2θ 58.05, rel. 12.2
- 2θ 77.58, rel. 12.1